Record 1
Calculated powder X-ray diffraction pattern of Ca2ZrTlO6 for Cu Kα X-rays, from a DFT-relaxed cell (PBE, Alexandria).

Main lines, low angle first (2θ from 10° to 80°):
2θ/deg  intensity  h k l
18.68  23  1 0 1
21.32  100  0 1 2
29.72  93  1 0 4
30.94  81  1 1 0
35.86  23  0 0 6
43.43  44  0 2 4
48.05  42  1 1 6
49.69  19  1 2 2
54.28  39  2 1 4
55.03  27  3 0 0

Crystal structure
Unit cell a=5.7802 b=5.7802 c=15.0387 alpha=90.00 beta=90.00 gamma=120.00
Space group R3 (No. 146, hexagonal axes)
Unique sites:
Ca1 0.0000 0.0000 0.0000 [3 per cell]
Ca2 0.0000 0.0000 0.4969 [3 per cell]
Zr1 0.0000 0.0000 0.7169 [3 per cell]
Tl1 0.0000 0.0000 0.2162 [3 per cell]
O1 0.0546 0.7129 0.7791 [9 per cell]
O2 0.0703 0.3722 0.2846 [9 per cell]

Record 2
Calculated powder X-ray diffraction pattern of Ca4U2O9 for Cu Kα X-rays, from a DFT-relaxed cell (PBE, Alexandria).

Main lines, low angle first (2θ from 10° to 80°):
2θ/deg  intensity  h k l
17.49  100  1 0 0
20.96  17  1 0 2
29.08  83  0 1 4
30.53  57  1 1 0
38.60  20  1 1 4
42.67  34  2 0 4
47.02  26  1 1 6
50.58  15  1 0 8
53.37  35  1 2 4
54.27  19  3 0 0

Crystal structure
Unit cell a=5.8553 b=5.8553 c=15.4361 alpha=90.00 beta=90.00 gamma=120.00
Space group P-3c1 (No. 165)
Unique sites:
Ca1 0.3333 0.6667 0.1912 [4 per cell]
Ca2 0.3333 0.6667 0.4790 [4 per cell]
U1 0.0000 0.0000 0.1439 [4 per cell]
O1 0.0000 0.2699 0.2500 [6 per cell]
O2 0.0382 0.3439 0.5867 [12 per cell]